1.
# NaCoP2HO7
Simulated powder XRD pattern, Cu Kα (λ = 1.5418 Å). Input: a structure optimized by DFT (GGA+U).
Neutral-atom scattering factors, no anomalous dispersion.

Structure:
```
NaCoP2HO7
1.0
6.684 0.000 0.000
-1.799 9.037 0.000
-3.134 -0.706 8.835
Na Co P H O
4 4 8 4 28
Direct
0.000 0.000 0.000 Na
0.000 0.499 0.498 Na
0.494 0.113 0.358 Na
0.496 0.612 0.858 Na
0.135 0.875 0.643 Co
0.136 0.376 0.143 Co
0.356 0.234 0.712 Co
0.359 0.737 0.212 Co
0.030 0.109 0.376 P
0.031 0.610 0.877 P
0.465 0.002 0.978 P
0.465 0.501 0.478 P
0.610 0.829 0.571 P
0.611 0.329 0.072 P
0.885 0.282 0.784 P
0.885 0.782 0.284 P
0.557 0.881 0.804 H
0.558 0.381 0.305 H
0.936 0.228 0.547 H
0.937 0.730 0.047 H
0.004 0.244 0.943 O
0.005 0.744 0.444 O
0.025 0.273 0.682 O
0.026 0.774 0.182 O
0.135 0.179 0.266 O
0.137 0.680 0.767 O
0.198 0.074 0.523 O
0.199 0.575 0.024 O
0.297 0.037 0.831 O
0.298 0.537 0.331 O
0.357 0.931 0.088 O
0.358 0.431 0.588 O
0.469 0.837 0.675 O
0.471 0.337 0.175 O
0.489 0.867 0.413 O
0.493 0.367 0.914 O
0.617 0.912 0.941 O
0.618 0.412 0.441 O
0.624 0.655 0.563 O
0.625 0.154 0.063 O
0.652 0.201 0.708 O
0.654 0.699 0.209 O
0.841 0.913 0.647 O
0.843 0.412 0.149 O
0.869 0.956 0.293 O
0.872 0.457 0.793 O
0.878 0.199 0.415 O
0.879 0.699 0.916 O
```

Largest 6 diffraction maxima, by angle, 10 to 90 degrees two-theta:
| d (Å) | Position (°2θ) | intensity |
| --- | --- | --- |
| 5.475 | 16.2 | 71 |
| 3.292 | 27.1 | 78 |
| 3.065 | 29.1 | 50 |
| 3.035 | 29.4 | 92 |
| 2.915 | 30.7 | 100 |
| 2.868 | 31.2 | 76 |

2.
# NaCo3P3H2O12
Simulated powder XRD pattern, Cu Kα (λ = 1.5418 Å). Input: a structure optimized by DFT (GGA+U).
Neutral-atom scattering factors, no anomalous dispersion.

Structure:
```
NaCo3P3H2O12
1.0
5.990 -6.101 0.000
5.990 6.101 0.000
-2.722 0.000 6.034
Na Co P H O
2 6 6 4 24
Direct
0.043 0.957 0.750 Na
0.957 0.043 0.250 Na
0.050 0.374 0.626 Co
0.276 0.724 0.250 Co
0.374 0.050 0.126 Co
0.626 0.950 0.874 Co
0.724 0.276 0.750 Co
0.950 0.626 0.374 Co
0.106 0.328 0.110 P
0.317 0.683 0.750 P
0.328 0.106 0.610 P
0.672 0.894 0.390 P
0.683 0.317 0.250 P
0.894 0.672 0.890 P
0.376 0.388 0.189 H
0.388 0.376 0.689 H
0.612 0.624 0.311 H
0.624 0.612 0.811 H
0.018 0.672 0.112 O
0.035 0.393 0.303 O
0.154 0.154 0.096 O
0.154 0.154 0.596 O
0.207 0.721 0.539 O
0.267 0.449 0.156 O
0.279 0.793 0.961 O
0.285 0.499 0.732 O
0.328 0.982 0.388 O
0.393 0.035 0.803 O
0.449 0.267 0.656 O
0.499 0.285 0.232 O
0.501 0.715 0.768 O
0.551 0.733 0.344 O
0.607 0.965 0.197 O
0.672 0.018 0.612 O
0.715 0.501 0.268 O
0.721 0.207 0.039 O
0.733 0.551 0.844 O
0.793 0.279 0.461 O
0.846 0.846 0.404 O
0.846 0.846 0.904 O
0.965 0.607 0.697 O
0.982 0.328 0.888 O
```

Largest 6 diffraction maxima, by angle, 10 to 90 degrees two-theta:
| d (Å) | Position (°2θ) | intensity |
| --- | --- | --- |
| 6.101 | 14.5 | 100 |
| 3.162 | 28.2 | 87 |
| 2.713 | 33.0 | 61 |
| 2.663 | 33.7 | 70 |
| 2.635 | 34.0 | 42 |
| 2.148 | 42.1 | 57 |

3.
# NaCoP2HO7
Simulated powder XRD pattern, Cu Kα (λ = 1.5418 Å). Input: a structure optimized by DFT (GGA+U).
Neutral-atom scattering factors, no anomalous dispersion.

Structure:
```
NaCoP2HO7
1.0
6.577 0.000 0.000
0.212 6.606 0.000
2.631 0.558 6.187
Na Co P H O
2 2 4 2 14
Direct
0.000 0.000 0.000 Na
0.451 0.719 0.511 Na
0.044 0.531 0.363 Co
0.476 0.234 0.131 Co
0.025 0.025 0.464 P
0.502 0.738 0.029 P
0.601 0.262 0.610 P
0.925 0.500 0.885 P
0.195 0.670 0.947 H
0.335 0.094 0.550 H
0.034 0.591 0.029 O
0.091 0.495 0.655 O
0.131 0.212 0.302 O
0.145 0.972 0.617 O
0.377 0.785 0.879 O
0.394 0.556 0.198 O
0.437 0.272 0.839 O
0.488 0.174 0.467 O
0.539 0.918 0.137 O
0.717 0.459 0.489 O
0.744 0.667 0.872 O
0.781 0.095 0.620 O
0.807 0.304 0.003 O
0.993 0.848 0.349 O
```

Largest 6 diffraction maxima, by angle, 10 to 90 degrees two-theta:
| d (Å) | Position (°2θ) | intensity |
| --- | --- | --- |
| 5.536 | 16.0 | 82 |
| 3.329 | 26.8 | 72 |
| 3.090 | 28.9 | 71 |
| 3.027 | 29.5 | 89 |
| 2.898 | 30.9 | 100 |
| 2.884 | 31.0 | 78 |